1.
# CsRb2P2Pt3
Simulated X-ray diffraction stick pattern, copper Kα. Input: DFT lattice parameters and positions (GGA-PBE).

Top 10 peaks for 2θ = 5–70°, by angle:
d_spacing, Rel. int.
7.209, 100
3.604, 24
3.290, 64
2.711, 33
2.638, 27
2.517, 44
2.467, 62
2.295, 42
1.849, 25
1.645, 28

Cell and atoms:
```
CsRb2P2Pt3
1.0
2.926 1.690 7.209
-2.926 1.690 7.209
0.000 -3.379 7.209
Cs Rb P Pt
1 2 2 3
Cartesian
0.000 0.000 0.000 Cs
0.000 0.000 8.919 Rb
0.000 0.000 12.707 Rb
0.000 0.000 5.247 P
0.000 0.000 16.379 P
-2.926 0.000 10.813 Pt
-1.463 0.845 3.604 Pt
1.463 0.845 3.604 Pt
```


2.
# Cs2RbP2Pt3
Simulated X-ray diffraction stick pattern, copper Kα. Input: DFT lattice parameters and positions (GGA-PBE).

Top 10 peaks for 2θ = 5–70°, by angle:
d_spacing, Rel. int.
7.397, 100
3.357, 67
2.750, 23
2.697, 23
2.548, 53
2.500, 51
2.329, 26
2.312, 27
1.777, 21
1.678, 21

Cell and atoms:
```
Cs2RbP2Pt3
1.0
2.962 1.710 7.397
-2.962 1.710 7.397
0.000 -3.421 7.397
Cs Rb P Pt
2 1 2 3
Cartesian
0.000 0.000 1.989 Cs
0.000 0.000 20.202 Cs
0.000 0.000 11.096 Rb
0.000 0.000 5.793 P
0.000 0.000 16.398 P
-1.481 -0.855 7.397 Pt
-1.481 0.855 14.794 Pt
0.000 1.710 7.397 Pt
```


3.
# CsSmP2Se6
Simulated X-ray diffraction stick pattern, copper Kα. Input: DFT lattice parameters and positions (GGA-PBE).

Top 10 peaks for 2θ = 5–70°, by angle:
d_spacing, Rel. int.
11.281, 100
5.048, 51
3.636, 59
3.176, 56
2.931, 55
2.925, 58
2.820, 42
2.775, 71
2.737, 54
2.573, 64

Cell and atoms:
```
CsSmP2Se6
1.0
7.014 0.000 0.000
0.000 7.682 0.000
0.000 0.000 22.562
Cs Sm P Se
4 4 8 24
Cartesian
0.949 0.250 0.106 Cs
2.558 7.432 11.387 Cs
4.456 3.591 22.455 Cs
6.065 4.091 11.174 Cs
1.538 1.516 5.631 Sm
1.969 6.166 16.912 Sm
5.045 2.325 16.931 Sm
5.476 5.358 5.650 Sm
1.289 3.587 2.595 P
1.356 2.379 15.093 P
2.151 5.303 3.812 P
2.218 4.095 13.876 P
4.796 0.254 19.967 P
4.863 1.462 7.469 P
5.658 6.220 18.750 P
5.725 7.428 8.686 P
0.465 6.822 7.416 Se
0.492 6.809 3.853 Se
0.547 5.499 19.574 Se
0.750 5.699 14.138 Se
0.920 4.225 0.559 Se
0.939 3.304 17.102 Se
2.568 4.378 5.821 Se
2.587 3.458 11.840 Se
2.757 1.983 2.857 Se
2.960 2.184 8.293 Se
3.015 0.873 15.134 Se
3.042 0.860 18.697 Se
3.972 4.701 15.146 Se
3.999 4.714 18.708 Se
4.054 6.025 2.988 Se
4.257 5.824 8.423 Se
4.427 7.299 22.003 Se
4.446 0.537 5.460 Se
6.075 7.145 16.741 Se
6.094 0.384 10.722 Se
6.264 1.858 19.704 Se
6.467 1.658 14.269 Se
6.522 2.968 7.427 Se
6.549 2.981 3.865 Se
```